1.
Diffraction record for K16Na12Pb. The PXRD pattern is simulated, not measured: it uses DFT lattice parameters and positions (PBE) and a wavelength of 1.5418 Å.
Neutral-atom scattering factors, no anomalous dispersion.

Peak list (12 most intense, 2θ from 10° to 80°, most intense first)
2θ = 25.66°, rel. 100, (3 3 0); 2θ = 26.11°, rel. 97, (3 3 -3); 2θ = 26.28°, rel. 82, (1 5 -2); 2θ = 25.87°, rel. 72, (4 2 -2); 2θ = 25.51°, rel. 58, (0 0 3); 2θ = 14.84°, rel. 40, (1 1 -2); 2θ = 14.59°, rel. 35, (1 1 1); 2θ = 29.42°, rel. 35, (2 2 2); 2θ = 15.11°, rel. 29, (1 3 -1); 2θ = 45.87°, rel. 29, (2 8 2); 2θ = 14.94°, rel. 29, (2 2 -1); 2θ = 45.49°, rel. 24, (1 5 -5)

```
data_K16Na12Pb
_cell_length_a 14.669
_cell_length_b 20.180
_cell_length_c 12.661
_cell_angle_alpha 90.00
_cell_angle_beta 124.08
_cell_angle_gamma 90.00
_symmetry_space_group_name_H-M 'C 1 m 1'
_symmetry_Int_Tables_number 8
_symmetry_space_group_name_Hall 'C -2y'
loop_
_atom_site_label
_atom_site_type_symbol
_atom_site_fract_x
_atom_site_fract_y
_atom_site_fract_z
K1 K 0.000 0.000 0.000
K2 K 0.016 0.000 0.368
K3 K 0.037 0.310 0.672
K4 K 0.060 0.394 0.399
K5 K 0.216 0.206 0.041
K6 K 0.307 0.000 0.055
K7 K 0.328 0.322 0.366
K8 K 0.358 0.341 0.773
K9 K 0.416 0.000 0.676
K10 K 0.458 0.145 0.961
Na1 Na 0.007 0.192 0.189
Na2 Na 0.108 0.094 0.710
Na3 Na 0.173 0.500 0.198
Na4 Na 0.197 0.184 0.535
Na5 Na 0.245 0.415 0.981
Na6 Na 0.254 0.092 0.328
Na7 Na 0.344 0.500 0.586
Pb1 Pb 0.194 0.500 0.720
```

2.
Diffraction record for Li13Al3. The PXRD pattern is simulated, not measured: it uses DFT lattice parameters and positions (PBE) and a wavelength of 1.5418 Å.
Neutral-atom scattering factors, no anomalous dispersion.

Peak list (12 most intense, 2θ from 10° to 80°, most intense first)
2θ = 39.27°, rel. 100, (2 2 2); 2θ = 16.75°, rel. 59, (0 1 1); 2θ = 19.05°, rel. 37, (0 2 0); 2θ = 25.64°, rel. 34, (2 1 1); 2θ = 39.11°, rel. 26, (4 0 0); 2θ = 38.65°, rel. 25, (0 4 0); 2θ = 19.33°, rel. 19, (2 0 0); 2θ = 37.63°, rel. 19, (2 3 1); 2θ = 70.97°, rel. 17, (6 2 2); 2θ = 56.16°, rel. 17, (4 4 0); 2θ = 70.36°, rel. 16, (2 6 2); 2θ = 34.01°, rel. 15, (2 0 2)

```
data_Li13Al3
_cell_length_a 9.213
_cell_length_b 9.318
_cell_length_c 6.429
_cell_angle_alpha 90.00
_cell_angle_beta 90.00
_cell_angle_gamma 90.00
_symmetry_space_group_name_H-M 'A m m 2'
_symmetry_Int_Tables_number 38
_symmetry_space_group_name_Hall 'A 2 -2'
loop_
_atom_site_label
_atom_site_type_symbol
_atom_site_fract_x
_atom_site_fract_y
_atom_site_fract_z
Li1 Li 0.000 0.000 0.000
Li2 Li 0.000 0.000 0.523
Li3 Li 0.000 0.220 0.261
Li4 Li 0.253 0.241 0.007
Li5 Li 0.255 0.000 0.753
Li6 Li 0.500 0.000 0.517
Li7 Li 0.500 0.235 0.266
Al1 Al 0.251 0.000 0.263
Al2 Al 0.500 0.000 0.013
```

3.
Diffraction record for Ba3Cd2Ag9. The PXRD pattern is simulated, not measured: it uses DFT lattice parameters and positions (PBE) and a wavelength of 1.5418 Å.
Neutral-atom scattering factors, no anomalous dispersion.

Peak list (12 most intense, 2θ from 10° to 80°, most intense first)
2θ = 31.43°, rel. 100, (1 2 3); 2θ = 36.54°, rel. 65, (2 0 0); 2θ = 34.73°, rel. 43, (1 3 2); 2θ = 32.42°, rel. 40, (1 3 0); 2θ = 40.95°, rel. 40, (1 3 4); 2θ = 30.30°, rel. 32, (0 2 4); 2θ = 35.75°, rel. 29, (1 0 5); 2θ = 32.53°, rel. 27, (0 3 3); 2θ = 36.93°, rel. 26, (0 0 6); 2θ = 31.81°, rel. 24, (1 1 4); 2θ = 52.93°, rel. 18, (2 0 6); 2θ = 60.79°, rel. 17, (1 4 7)

```
data_Ba3Cd2Ag9
_cell_length_a 4.918
_cell_length_b 10.013
_cell_length_c 14.605
_cell_angle_alpha 90.00
_cell_angle_beta 90.00
_cell_angle_gamma 90.00
_symmetry_space_group_name_H-M 'I m m m'
_symmetry_Int_Tables_number 71
_symmetry_space_group_name_Hall '-I 2 2'
loop_
_atom_site_label
_atom_site_type_symbol
_atom_site_fract_x
_atom_site_fract_y
_atom_site_fract_z
Ba1 Ba 0.000 0.000 0.000
Ba2 Ba 0.000 0.000 0.297
Cd1 Cd 0.000 0.197 0.500
Ag1 Ag 0.000 0.283 0.130
Ag2 Ag 0.000 0.354 0.332
Ag3 Ag 0.000 0.500 0.000
```

4.
Diffraction record for CaNd2Al9. The PXRD pattern is simulated, not measured: it uses DFT lattice parameters and positions (PBE) and a wavelength of 1.5418 Å.
Neutral-atom scattering factors, no anomalous dispersion.

Peak list (12 most intense, 2θ from 10° to 80°, most intense first)
2θ = 10.04°, rel. 100, (0 0 3); 2θ = 37.53°, rel. 98, (1 1 6); 2θ = 31.31°, rel. 86, (1 1 0); 2θ = 29.77°, rel. 77, (1 0 7); 2θ = 22.45°, rel. 55, (1 0 4); 2θ = 32.60°, rel. 45, (0 1 8); 2θ = 36.48°, rel. 42, (0 2 1); 2θ = 32.97°, rel. 41, (1 1 3); 2θ = 18.24°, rel. 37, (1 0 1); 2θ = 38.87°, rel. 34, (0 2 4); 2θ = 41.81°, rel. 31, (0 1 11); 2θ = 61.86°, rel. 30, (2 0 14)

```
data_CaNd2Al9
_cell_length_a 5.7131
_cell_length_b 5.7131
_cell_length_c 26.4180
_cell_angle_alpha 90.00
_cell_angle_beta 90.00
_cell_angle_gamma 120.00
_symmetry_space_group_name_H-M 'R -3 m'
_symmetry_Int_Tables_number 166
_symmetry_space_group_name_Hall '-R 3 2"'
loop_
_atom_site_label
_atom_site_type_symbol
_atom_site_fract_x
_atom_site_fract_y
_atom_site_fract_z
Ca1 Ca 0.0000 0.0000 0.0000
Nd1 Nd 0.0000 0.0000 0.1417
Al1 Al 0.0000 0.0000 0.3354
Al2 Al 0.0000 0.0000 0.5000
Al3 Al 0.0082 0.5041 0.9170
```